Ge2Te3: calculated X-ray powder pattern (Cu Kα), based on a DFT-relaxed cell (PBE, Alexandria).
Peak positions follow from Bragg's law for the DFT cell and can differ from measured ones.

Structure:
```
Ge2Te3
1.0
2.0011 1.1554 10.4828
-2.0011 1.1554 10.4828
0.0000 -2.3107 10.4828
Ge Te
2 3
direct
0.1060 0.1060 0.1060 Ge
0.8940 0.8940 0.8940 Ge
0.2781 0.2781 0.2781 Te
0.5000 0.5000 0.5000 Te
0.7219 0.7219 0.7219 Te
```

Largest 10 diffraction maxima, by angle, 5 to 70 degrees two-theta:
2θ/deg  d/Å  I_rel
8.43  10.483  10
25.49  3.494  12
28.14  3.172  17
29.42  3.036  100
34.50  2.600  19
38.66  2.329  22
45.32  2.001  38
45.74  1.984  24
52.71  1.737  9
54.96  1.671  17

=====

ZrSi23: calculated X-ray powder pattern (Cu Kα), based on a DFT-relaxed cell (PBE, Alexandria).
Peak positions follow from Bragg's law for the DFT cell and can differ from measured ones.

Structure:
```
ZrSi23
1.0
10.1894 0.0000 0.0000
0.0000 10.1894 0.0000
0.0000 0.0000 10.1894
Zr Si
2 46
direct
0.0000 0.0000 0.0000 Zr
0.5000 0.5000 0.5000 Zr
0.0000 0.1158 0.3077 Si
0.0000 0.1158 0.6923 Si
0.0000 0.2500 0.5000 Si
0.0000 0.7500 0.5000 Si
0.0000 0.8842 0.3077 Si
0.0000 0.8842 0.6923 Si
0.1158 0.3077 0.0000 Si
0.1158 0.6923 0.0000 Si
0.1816 0.1816 0.1816 Si
0.1816 0.1816 0.8184 Si
0.1816 0.8184 0.1816 Si
0.1816 0.8184 0.8184 Si
0.1923 0.3842 0.5000 Si
0.1923 0.6158 0.5000 Si
0.2500 0.5000 0.0000 Si
0.3077 0.0000 0.1158 Si
0.3077 0.0000 0.8842 Si
0.3184 0.3184 0.3184 Si
0.3184 0.3184 0.6816 Si
0.3184 0.6816 0.3184 Si
0.3184 0.6816 0.6816 Si
0.3842 0.5000 0.1923 Si
0.3842 0.5000 0.8077 Si
0.5000 0.0000 0.2500 Si
0.5000 0.0000 0.7500 Si
0.5000 0.1923 0.3842 Si
0.5000 0.1923 0.6158 Si
0.5000 0.8077 0.3842 Si
0.5000 0.8077 0.6158 Si
0.6158 0.5000 0.1923 Si
0.6158 0.5000 0.8077 Si
0.6816 0.3184 0.3184 Si
0.6816 0.3184 0.6816 Si
0.6816 0.6816 0.3184 Si
0.6816 0.6816 0.6816 Si
0.6923 0.0000 0.1158 Si
0.6923 0.0000 0.8842 Si
0.7500 0.5000 0.0000 Si
0.8077 0.3842 0.5000 Si
0.8077 0.6158 0.5000 Si
0.8184 0.1816 0.1816 Si
0.8184 0.1816 0.8184 Si
0.8184 0.8184 0.1816 Si
0.8184 0.8184 0.8184 Si
0.8842 0.3077 0.0000 Si
0.8842 0.6923 0.0000 Si
```

Largest 10 diffraction maxima, by angle, 5 to 70 degrees two-theta:
2θ/deg  d/Å  I_rel
12.28  7.205  77
19.48  4.557  42
32.89  2.723  100
36.35  2.471  14
37.45  2.402  25
40.57  2.223  13
52.36  1.747  16
53.18  1.722  12
54.00  1.698  20
55.60  1.653  41

=====

Please write out number 1 again, unchanged.
Ge2Te3: calculated X-ray powder pattern (Cu Kα), based on a DFT-relaxed cell (PBE, Alexandria).
Peak positions follow from Bragg's law for the DFT cell and can differ from measured ones.

Structure:
```
Ge2Te3
1.0
2.0011 1.1554 10.4828
-2.0011 1.1554 10.4828
0.0000 -2.3107 10.4828
Ge Te
2 3
direct
0.1060 0.1060 0.1060 Ge
0.8940 0.8940 0.8940 Ge
0.2781 0.2781 0.2781 Te
0.5000 0.5000 0.5000 Te
0.7219 0.7219 0.7219 Te
```

Largest 10 diffraction maxima, by angle, 5 to 70 degrees two-theta:
2θ/deg  d/Å  I_rel
8.43  10.483  10
25.49  3.494  12
28.14  3.172  17
29.42  3.036  100
34.50  2.600  19
38.66  2.329  22
45.32  2.001  38
45.74  1.984  24
52.71  1.737  9
54.96  1.671  17

=====

Please write out number 2 again, unchanged.
ZrSi23: calculated X-ray powder pattern (Cu Kα), based on a DFT-relaxed cell (PBE, Alexandria).
Peak positions follow from Bragg's law for the DFT cell and can differ from measured ones.

Structure:
```
ZrSi23
1.0
10.1894 0.0000 0.0000
0.0000 10.1894 0.0000
0.0000 0.0000 10.1894
Zr Si
2 46
direct
0.0000 0.0000 0.0000 Zr
0.5000 0.5000 0.5000 Zr
0.0000 0.1158 0.3077 Si
0.0000 0.1158 0.6923 Si
0.0000 0.2500 0.5000 Si
0.0000 0.7500 0.5000 Si
0.0000 0.8842 0.3077 Si
0.0000 0.8842 0.6923 Si
0.1158 0.3077 0.0000 Si
0.1158 0.6923 0.0000 Si
0.1816 0.1816 0.1816 Si
0.1816 0.1816 0.8184 Si
0.1816 0.8184 0.1816 Si
0.1816 0.8184 0.8184 Si
0.1923 0.3842 0.5000 Si
0.1923 0.6158 0.5000 Si
0.2500 0.5000 0.0000 Si
0.3077 0.0000 0.1158 Si
0.3077 0.0000 0.8842 Si
0.3184 0.3184 0.3184 Si
0.3184 0.3184 0.6816 Si
0.3184 0.6816 0.3184 Si
0.3184 0.6816 0.6816 Si
0.3842 0.5000 0.1923 Si
0.3842 0.5000 0.8077 Si
0.5000 0.0000 0.2500 Si
0.5000 0.0000 0.7500 Si
0.5000 0.1923 0.3842 Si
0.5000 0.1923 0.6158 Si
0.5000 0.8077 0.3842 Si
0.5000 0.8077 0.6158 Si
0.6158 0.5000 0.1923 Si
0.6158 0.5000 0.8077 Si
0.6816 0.3184 0.3184 Si
0.6816 0.3184 0.6816 Si
0.6816 0.6816 0.3184 Si
0.6816 0.6816 0.6816 Si
0.6923 0.0000 0.1158 Si
0.6923 0.0000 0.8842 Si
0.7500 0.5000 0.0000 Si
0.8077 0.3842 0.5000 Si
0.8077 0.6158 0.5000 Si
0.8184 0.1816 0.1816 Si
0.8184 0.1816 0.8184 Si
0.8184 0.8184 0.1816 Si
0.8184 0.8184 0.8184 Si
0.8842 0.3077 0.0000 Si
0.8842 0.6923 0.0000 Si
```

Largest 10 diffraction maxima, by angle, 5 to 70 degrees two-theta:
2θ/deg  d/Å  I_rel
12.28  7.205  77
19.48  4.557  42
32.89  2.723  100
36.35  2.471  14
37.45  2.402  25
40.57  2.223  13
52.36  1.747  16
53.18  1.722  12
54.00  1.698  20
55.60  1.653  41